(1)
Simulated powder diffractogram
Compound: Sr2V11NiO22
Radiation: CuKα
Structure: the GGA+U geometry in Alexandria
Lines closer than 0.1° are merged.

The 12 most intense peaks (2θ = 15–90°), sorted by position:
d 3.317, I = 38.0
d 2.945, I = 48.1
d 2.789, I = 92.0
d 2.776, I = 44.8
d 2.727, I = 52.2
d 2.692, I = 100.0
d 2.402, I = 56.0
d 2.226, I = 43.0
d 1.678, I = 67.9
d 1.667, I = 35.4
d 1.663, I = 43.6
d 1.473, I = 44.9

Crystal structure
a b c (Å): 13.267 5.891 5.891
angles (deg): 61.02 90.00 90.00
Sites, in units of the cell vectors:
Sr 0.000 0.000 0.000
Sr 0.500 0.327 0.327
V 0.000 0.330 0.330
V 0.106 0.665 0.665
V 0.248 0.159 0.663
V 0.248 0.663 0.159
V 0.250 0.159 0.159
V 0.399 0.656 0.656
V 0.601 0.656 0.656
V 0.750 0.159 0.159
V 0.752 0.159 0.663
V 0.752 0.663 0.159
V 0.894 0.665 0.665
Ni 0.500 0.995 0.995
O 0.000 0.501 0.970
O 0.000 0.508 0.508
O 0.000 0.970 0.501
O 0.160 0.323 0.323
O 0.164 0.839 0.839
O 0.168 0.310 0.843
O 0.168 0.843 0.310
O 0.330 0.496 0.496
O 0.331 0.008 0.486
O 0.331 0.486 0.008
O 0.333 0.002 0.002
O 0.500 0.371 0.798
O 0.500 0.798 0.371
O 0.500 0.800 0.800
O 0.667 0.002 0.002
O 0.669 0.008 0.486
O 0.669 0.486 0.008
O 0.670 0.496 0.496
O 0.832 0.310 0.843
O 0.832 0.843 0.310
O 0.836 0.839 0.839
O 0.840 0.323 0.323

(2)
Simulated powder diffractogram
Compound: SrV2Ni2O8
Radiation: CuKα
Structure: the GGA+U geometry in Alexandria
Lines closer than 0.1° are merged.

The 12 most intense peaks (2θ = 15–90°), sorted by position:
d 3.495, I = 44.0
d 3.175, I = 17.7
d 2.872, I = 100.0
d 2.823, I = 79.7
d 2.760, I = 57.5
d 2.516, I = 41.6
d 2.213, I = 32.7
d 2.057, I = 32.0
d 1.907, I = 19.6
d 1.894, I = 35.1
d 1.477, I = 46.7
d 1.455, I = 26.7

Crystal structure
a b c (Å): 9.704 9.704 9.704
angles (deg): 101.01 101.01 128.18
Sites, in units of the cell vectors:
Sr 0.000 0.000 0.000
Sr 0.250 0.750 0.500
Sr 0.500 0.500 0.000
Sr 0.750 0.250 0.500
V 0.002 0.821 0.659
V 0.071 0.752 0.159
V 0.093 0.252 0.681
V 0.162 0.343 0.341
V 0.502 0.843 0.181
V 0.571 0.412 0.319
V 0.593 0.912 0.841
V 0.662 0.321 0.819
Ni 0.045 0.382 0.004
Ni 0.132 0.628 0.837
Ni 0.291 0.128 0.496
Ni 0.378 0.041 0.996
Ni 0.545 0.541 0.663
Ni 0.632 0.795 0.504
Ni 0.791 0.295 0.163
Ni 0.878 0.882 0.337
O 0.019 0.543 0.161
O 0.059 0.888 0.507
O 0.096 0.245 0.859
O 0.103 0.433 0.674
O 0.108 0.132 0.339
O 0.138 0.809 0.007
O 0.180 0.353 0.170
O 0.183 0.010 0.830
O 0.260 0.933 0.330
O 0.293 0.632 0.024
O 0.302 0.309 0.671
O 0.380 0.552 0.493
O 0.382 0.858 0.839
O 0.386 0.236 0.141
O 0.486 0.136 0.641
O 0.495 0.846 0.359
O 0.519 0.358 0.476
O 0.559 0.052 0.171
O 0.596 0.736 0.851
O 0.603 0.930 0.670
O 0.608 0.269 0.976
O 0.638 0.630 0.329
O 0.680 0.510 0.826
O 0.683 0.853 0.174
O 0.760 0.430 0.326
O 0.793 0.769 0.661
O 0.802 0.130 0.993
O 0.880 0.388 0.829
O 0.882 0.043 0.524
O 0.886 0.745 0.149
O 0.986 0.346 0.351
O 0.995 0.636 0.649

(3)
Simulated powder diffractogram
Compound: Ta2Ni4O9
Radiation: CuKα
Structure: the GGA+U geometry in Alexandria
Lines closer than 0.1° are merged.

The 12 most intense peaks (2θ = 15–90°), sorted by position:
d 4.463, I = 55.6
d 3.778, I = 24.1
d 2.778, I = 100.0
d 2.577, I = 76.8
d 2.085, I = 11.0
d 1.889, I = 36.6
d 1.743, I = 39.5
d 1.524, I = 34.9
d 1.488, I = 24.1
d 1.353, I = 13.9
d 1.288, I = 9.1
d 1.169, I = 13.1

Crystal structure
a b c (Å): 5.153 5.153 14.197
angles (deg): 90.00 90.00 120.00
Sites, in units of the cell vectors:
Ta 0.000 0.000 0.143
Ta 0.000 0.000 0.357
Ta 0.000 0.000 0.643
Ta 0.000 0.000 0.857
Ni 0.333 0.667 0.186
Ni 0.333 0.667 0.488
Ni 0.333 0.667 0.686
Ni 0.333 0.667 0.988
Ni 0.667 0.333 0.012
Ni 0.667 0.333 0.314
Ni 0.667 0.333 0.512
Ni 0.667 0.333 0.814
O 0.000 0.291 0.250
O 0.000 0.709 0.750
O 0.023 0.346 0.584
O 0.023 0.677 0.084
O 0.291 0.000 0.250
O 0.291 0.291 0.750
O 0.323 0.346 0.084
O 0.323 0.977 0.584
O 0.346 0.023 0.916
O 0.346 0.323 0.416
O 0.654 0.677 0.584
O 0.654 0.977 0.084
O 0.677 0.023 0.416
O 0.677 0.654 0.916
O 0.709 0.000 0.750
O 0.709 0.709 0.250
O 0.977 0.323 0.916
O 0.977 0.654 0.416

(4)
Simulated powder diffractogram
Compound: Ta2Zn2NiO8
Radiation: CuKα
Structure: the GGA+U geometry in Alexandria
Lines closer than 0.1° are merged.

The 12 most intense peaks (2θ = 15–90°), sorted by position:
d 5.655, I = 27.4
d 4.806, I = 34.4
d 3.855, I = 63.7
d 3.351, I = 44.1
d 3.224, I = 71.8
d 2.754, I = 100.0
d 2.746, I = 77.9
d 2.634, I = 60.8
d 2.580, I = 92.6
d 1.756, I = 62.6
d 1.544, I = 32.0
d 1.510, I = 30.0

Crystal structure
a b c (Å): 10.058 10.058 5.268
angles (deg): 90.23 90.23 34.21
Sites, in units of the cell vectors:
Ta 0.045 0.728 0.735
Ta 0.272 0.955 0.765
Ta 0.728 0.045 0.235
Ta 0.955 0.272 0.265
Zn 0.127 0.437 0.232
Zn 0.437 0.127 0.732
Zn 0.563 0.873 0.268
Zn 0.873 0.563 0.768
Ni 0.361 0.639 0.250
Ni 0.639 0.361 0.750
O 0.048 0.815 0.073
O 0.076 0.278 0.565
O 0.159 0.455 0.860
O 0.185 0.952 0.427
O 0.278 0.076 0.065
O 0.320 0.565 0.586
O 0.435 0.680 0.914
O 0.455 0.159 0.360
O 0.545 0.841 0.640
O 0.565 0.320 0.086
O 0.680 0.435 0.414
O 0.722 0.924 0.935
O 0.815 0.048 0.573
O 0.841 0.545 0.140
O 0.924 0.722 0.435
O 0.952 0.185 0.927

(5)
Simulated powder diffractogram
Compound: TcNiO4
Radiation: CuKα
Structure: the GGA+U geometry in Alexandria
Lines closer than 0.1° are merged.

The 12 most intense peaks (2θ = 15–90°), sorted by position:
d 3.821, I = 100.0
d 3.561, I = 68.0
d 2.875, I = 46.0
d 2.649, I = 87.8
d 2.564, I = 54.7
d 2.237, I = 25.0
d 1.911, I = 15.0
d 1.780, I = 19.5
d 1.613, I = 20.7
d 1.594, I = 20.7
d 1.514, I = 36.5
d 1.352, I = 13.8

Crystal structure
a b c (Å): 5.170 5.170 6.364
angles (deg): 90.00 90.00 112.42
Sites, in units of the cell vectors:
Tc 0.142 0.858 0.750
Tc 0.858 0.142 0.250
Ni 0.500 0.500 0.000
Ni 0.500 0.500 0.500
O 0.238 0.285 0.250
O 0.265 0.735 0.528
O 0.265 0.735 0.972
O 0.285 0.238 0.750
O 0.715 0.762 0.250
O 0.735 0.265 0.028
O 0.735 0.265 0.472
O 0.762 0.715 0.750

(6)
Simulated powder diffractogram
Compound: ZnTcNiO4
Radiation: CuKα
Structure: the GGA+U geometry in Alexandria
Lines closer than 0.1° are merged.

The 12 most intense peaks (2θ = 15–90°), sorted by position:
d 5.111, I = 49.9
d 4.987, I = 60.8
d 2.723, I = 58.5
d 2.666, I = 49.9
d 2.656, I = 61.2
d 2.590, I = 65.6
d 2.557, I = 100.0
d 2.484, I = 92.6
d 2.469, I = 80.1
d 2.078, I = 59.5
d 1.541, I = 69.2
d 1.514, I = 64.1

Crystal structure
a b c (Å): 6.079 6.079 6.097
angles (deg): 118.81 118.81 55.74
Sites, in units of the cell vectors:
Zn 0.000 0.000 0.000
Zn 0.639 0.639 0.890
Tc 0.161 0.591 0.380
Tc 0.591 0.161 0.380
Ni 0.232 0.232 0.748
Ni 0.633 0.633 0.374
O 0.365 0.831 0.597
O 0.379 0.379 0.647
O 0.393 0.393 0.133
O 0.405 0.903 0.152
O 0.831 0.365 0.597
O 0.868 0.868 0.597
O 0.875 0.875 0.155
O 0.903 0.405 0.152

(7)
Simulated powder diffractogram
Compound: NiTe6O13
Radiation: CuKα
Structure: the GGA+U geometry in Alexandria
Lines closer than 0.1° are merged.

The 12 most intense peaks (2θ = 15–90°), sorted by position:
d 4.237, I = 10.0
d 4.046, I = 15.0
d 3.211, I = 37.4
d 3.181, I = 100.0
d 2.761, I = 49.3
d 1.959, I = 24.3
d 1.946, I = 24.6
d 1.883, I = 9.2
d 1.672, I = 13.1
d 1.664, I = 23.9
d 1.660, I = 12.2
d 1.590, I = 10.8

Crystal structure
a b c (Å): 8.750 8.750 8.750
angles (deg): 72.07 72.07 72.07
Sites, in units of the cell vectors:
Ni 0.244 0.244 0.244
Ni 0.756 0.756 0.756
Te 0.030 0.325 0.922
Te 0.078 0.970 0.675
Te 0.167 0.560 0.489
Te 0.325 0.922 0.030
Te 0.440 0.511 0.833
Te 0.489 0.167 0.560
Te 0.511 0.833 0.440
Te 0.560 0.489 0.167
Te 0.675 0.078 0.970
Te 0.833 0.440 0.511
Te 0.922 0.030 0.325
Te 0.970 0.675 0.078
O 0.049 0.135 0.384
O 0.102 0.402 0.415
O 0.115 0.798 0.875
O 0.125 0.885 0.202
O 0.135 0.384 0.049
O 0.200 0.443 0.701
O 0.202 0.125 0.885
O 0.299 0.800 0.557
O 0.384 0.049 0.135
O 0.402 0.415 0.102
O 0.412 0.412 0.412
O 0.415 0.102 0.402
O 0.443 0.701 0.200
O 0.557 0.299 0.800
O 0.585 0.898 0.598
O 0.588 0.588 0.588
O 0.598 0.585 0.898
O 0.616 0.951 0.865
O 0.701 0.200 0.443
O 0.798 0.875 0.115
O 0.800 0.557 0.299
O 0.865 0.616 0.951
O 0.875 0.115 0.798
O 0.885 0.202 0.125
O 0.898 0.598 0.585
O 0.951 0.865 0.616

(8)
Simulated powder diffractogram
Compound: NiTe4O12
Radiation: CuKα
Structure: the GGA+U geometry in Alexandria
Lines closer than 0.1° are merged.

The 12 most intense peaks (2θ = 15–90°), sorted by position:
d 3.791, I = 100.0
d 3.753, I = 51.1
d 2.774, I = 47.8
d 2.753, I = 24.0
d 2.596, I = 36.0
d 2.566, I = 17.6
d 1.899, I = 10.3
d 1.893, I = 10.3
d 1.876, I = 9.8
d 1.746, I = 9.4
d 1.737, I = 24.2
d 1.724, I = 9.4

Crystal structure
a b c (Å): 5.132 5.577 7.627
angles (deg): 84.75 89.81 89.49
Sites, in units of the cell vectors:
Ni 0.000 0.000 0.000
Te 0.009 0.393 0.695
Te 0.022 0.403 0.221
Te 0.499 0.880 0.698
Te 0.511 0.876 0.214
O 0.120 0.345 0.933
O 0.184 0.028 0.240
O 0.202 0.689 0.627
O 0.304 0.180 0.621
O 0.363 0.560 0.266
O 0.363 0.861 0.943
O 0.638 0.895 0.455
O 0.694 0.158 0.127
O 0.703 0.584 0.768
O 0.808 0.070 0.763
O 0.823 0.709 0.130
O 0.872 0.402 0.462